Starting from the PBE+U geometry in the Materials Project, the powder XRD pattern of NaW2O6 was simulated for Cu Kα (λ = 1.5418 Å).

Largest 12 diffraction maxima, in order of falling intensity, 2θ = 10–80°:
- 22.80°, rel. 100
- 32.46°, rel. 74
- 57.91°, rel. 30
- 52.43°, rel. 28
- 72.72°, rel. 18
- 46.53°, rel. 16
- 67.98°, rel. 15
- 52.52°, rel. 14
- 40.04°, rel. 14
- 77.31°, rel. 9
- 46.64°, rel. 8
- 77.48°, rel. 4

Structure:
Cell: 6.756 6.756 6.756 Å, 109.41 109.41 109.59°
Fractional coordinates of all 18 atoms:
1 Na 0.000 0.000 0.000
2 Na 0.500 0.500 0.000
3 W 0.000 0.000 0.500
4 W 0.000 0.500 0.000
5 W 0.500 0.000 0.000
6 W 0.500 0.500 0.500
7 O 0.012 0.767 0.245
8 O 0.233 0.479 0.245
9 O 0.233 0.988 0.755
10 O 0.267 0.267 0.533
11 O 0.267 0.733 0.000
12 O 0.479 0.233 0.245
13 O 0.521 0.767 0.755
14 O 0.733 0.267 0.000
15 O 0.733 0.733 0.467
16 O 0.767 0.012 0.245
17 O 0.767 0.521 0.755
18 O 0.988 0.233 0.755

---

Starting from the PBE+U geometry in the Materials Project, the powder XRD pattern of Na2W2O5 was simulated for Cu Kα (λ = 1.5418 Å).

Largest 12 diffraction maxima, in order of falling intensity, 2θ = 10–80°:
- 31.79°, rel. 100
- 22.10°, rel. 95
- 22.56°, rel. 73
- 16.55°, rel. 67
- 31.48°, rel. 56
- 35.75°, rel. 55
- 52.10°, rel. 35
- 23.03°, rel. 33
- 46.61°, rel. 30
- 62.54°, rel. 24
- 39.35°, rel. 23
- 56.27°, rel. 23

Structure:
Cell: 8.848 8.848 8.848 Å, 54.08 142.45 142.55°
Fractional coordinates of all 18 atoms:
1 Na 0.022 0.108 0.130
2 Na 0.022 0.392 0.414
3 Na 0.978 0.608 0.586
4 Na 0.978 0.892 0.870
5 W 0.330 0.729 0.101
6 W 0.503 0.003 0.500
7 W 0.503 0.503 0.000
8 W 0.628 0.229 0.899
9 O 0.002 0.227 0.725
10 O 0.002 0.777 0.275
11 O 0.104 0.395 0.209
12 O 0.185 0.895 0.791
13 O 0.410 0.635 0.040
14 O 0.410 0.871 0.275
15 O 0.502 0.277 0.275
16 O 0.502 0.727 0.725
17 O 0.596 0.135 0.725
18 O 0.596 0.371 0.960

---

Starting from the PBE+U geometry in the Materials Project, the powder XRD pattern of NaW10O30 was simulated for Cu Kα (λ = 1.5418 Å).

Largest 12 diffraction maxima, in order of falling intensity, 2θ = 10–80°:
- 23.01°, rel. 100
- 32.69°, rel. 58
- 22.90°, rel. 50
- 52.95°, rel. 41
- 32.77°, rel. 29
- 58.45°, rel. 23
- 47.03°, rel. 20
- 40.36°, rel. 20
- 52.75°, rel. 19
- 73.33°, rel. 14
- 68.50°, rel. 12
- 73.49°, rel. 11

Structure:
Cell: 6.705 6.705 13.982 Å, 99.44 99.44 70.37°
Fractional coordinates of all 41 atoms:
1 Na 0.000 0.000 0.000
2 W 0.105 0.605 0.396
3 W 0.199 0.690 0.802
4 W 0.310 0.801 0.198
5 W 0.395 0.895 0.604
6 W 0.500 0.008 0.996
7 W 0.596 0.095 0.406
8 W 0.707 0.202 0.793
9 W 0.798 0.293 0.207
10 W 0.905 0.404 0.594
11 W 0.992 0.500 0.004
12 O 0.002 0.501 0.498
13 O 0.051 0.048 0.198
14 O 0.051 0.549 0.700
15 O 0.098 0.603 0.902
16 O 0.148 0.655 0.099
17 O 0.151 0.149 0.600
18 O 0.201 0.700 0.298
19 O 0.247 0.250 0.000
20 O 0.251 0.749 0.500
21 O 0.300 0.799 0.702
22 O 0.345 0.852 0.901
23 O 0.351 0.349 0.400
24 O 0.397 0.902 0.098
25 O 0.451 0.949 0.300
26 O 0.452 0.449 0.801
27 O 0.499 0.998 0.502
28 O 0.551 0.049 0.700
29 O 0.551 0.548 0.199
30 O 0.605 0.100 0.900
31 O 0.651 0.649 0.600
32 O 0.654 0.148 0.099
33 O 0.699 0.197 0.301
34 O 0.750 0.753 0.000
35 O 0.751 0.249 0.500
36 O 0.803 0.301 0.699
37 O 0.851 0.849 0.400
38 O 0.852 0.346 0.901
39 O 0.900 0.395 0.100
40 O 0.951 0.449 0.300
41 O 0.952 0.949 0.802